For LaCeMn2O6, a GGA+U-relaxed structure gives the computed powder X-ray diffraction pattern in this record (Cu Kα).

Structure:
```
data_LaCeMn2O6
_symmetry_space_group_name_H-M 'R 3 2'
_symmetry_Int_Tables_number 155
_symmetry_space_group_name_Hall 'R 3 2"'
_cell_length_a 5.5064
_cell_length_b 5.5064
_cell_length_c 13.3115
_cell_angle_alpha 90.00
_cell_angle_beta 90.00
_cell_angle_gamma 120.00
loop_
_atom_site_label
_atom_site_type_symbol
_atom_site_fract_x
_atom_site_fract_y
_atom_site_fract_z
La1 La 0.0000 0.0000 0.0000
Ce1 Ce 0.0000 0.0000 0.5000
Mn1 Mn 0.0000 0.0000 0.2499
O1 O 0.0000 0.4299 0.0000
O2 O 0.0000 0.5806 0.5000
```

Top 12 peaks for 10° ≤ 2θ ≤ 90°, in order of rising 2θ:
(hkl)  Position (°2θ)  Rel. int.
0 1 2  22.94  33
1 1 0  32.52  95
1 0 4  32.82  100
2 0 2  40.17  24
0 2 4  46.87  57
3 0 0  58.02  24
2 1 4  58.21  40
0 1 8  58.77  19
2 2 0  68.11  15
2 0 8  68.80  17
1 3 4  77.69  15
1 2 8  78.18  17